No. 1
Li4V2Cr3Fe3O16: simulated XRD peak list (Cu Ka), based on the PBE+U geometry in the Materials Project.
No peak broadening, texture or thermal motion is included.

Structural model:
Cell: 10.2989 5.9424 9.4497 Å, 90.00 90.75 90.00°
Space group Cm (No. 8)
Symmetry-distinct sites (fractional):
Li 0.0000 0.0000 0.0000 (multiplicity 2)
Li 0.9996 0.0000 0.4986 (multiplicity 2)
Li 0.1654 0.5000 0.5938 (multiplicity 2)
Li 0.3313 0.0000 0.0911 (multiplicity 2)
V 0.1682 0.5000 0.9949 (multiplicity 2)
V 0.3329 0.0000 0.4970 (multiplicity 2)
Cr 0.3264 0.5000 0.2781 (multiplicity 2)
Cr 0.4129 0.2422 0.7771 (multiplicity 4)
Fe 0.0840 0.2615 0.2724 (multiplicity 4)
Fe 0.1719 0.0000 0.7708 (multiplicity 2)
O 0.9996 0.0000 0.1898 (multiplicity 2)
O 0.9999 0.0000 0.6875 (multiplicity 2)
O 0.0191 0.5000 0.1400 (multiplicity 2)
O 0.0862 0.2643 0.9020 (multiplicity 4)
O 0.1638 0.5000 0.3869 (multiplicity 2)
O 0.1754 0.0000 0.4050 (multiplicity 2)
O 0.2395 0.2857 0.1445 (multiplicity 4)
O 0.2621 0.2198 0.6439 (multiplicity 4)
O 0.3258 0.5000 0.8983 (multiplicity 2)
O 0.3299 0.0000 0.8857 (multiplicity 2)
O 0.4109 0.2386 0.4011 (multiplicity 4)
O 0.4760 0.0000 0.6489 (multiplicity 2)

Peak list (12 most intense, 5° ≤ 2θ ≤ 70°, in order of rising 2θ)
(hkl)  d_spacing  2θ (°)  I/Imax
0 0 2  4.724  18.8  100
1 1 -1  4.537  19.6  87
2 0 1  4.504  19.7  92
2 0 2  3.465  25.7  26
1 1 3  2.676  33.5  30
3 1 -2  2.529  35.5  27
0 2 2  2.515  35.7  26
4 0 -1  2.489  36.1  50
4 0 1  2.478  36.3  47
2 2 -3  1.999  45.4  37
2 2 3  1.987  45.7  36
6 2 0  1.486  62.5  69

No. 2
BaV6O11: simulated XRD peak list (Cu Ka), based on the PBE+U geometry in the Materials Project.
No peak broadening, texture or thermal motion is included.

Structural model:
Cell: 5.9281 10.3385 13.5416 Å, 90.00 90.00 90.00°
Space group Cmcm (No. 63)
Symmetry-distinct sites (fractional):
Ba 0.0000 0.1701 0.2500 (multiplicity 4)
V 0.0000 0.0000 0.0000 (multiplicity 4)
V 0.0000 0.1655 0.7500 (multiplicity 4)
V 0.0000 0.4963 0.6467 (multiplicity 8)
V 0.2500 0.2500 0.0000 (multiplicity 8)
O 0.0000 0.1727 0.5839 (multiplicity 8)
O 0.0000 0.3253 0.0759 (multiplicity 8)
O 0.0000 0.3476 0.7500 (multiplicity 4)
O 0.2212 0.4285 0.2500 (multiplicity 8)
O 0.2424 0.0910 0.0772 (multiplicity 16)

Peak list (12 most intense, 5° ≤ 2θ ≤ 70°, in order of rising 2θ)
(hkl)  d_spacing  2θ (°)  I/Imax
0 2 1  4.816  18.4  28
0 0 4  3.385  26.3  38
1 3 0  2.979  30.0  42
0 2 4  2.829  31.6  100
1 3 2  2.727  32.8  85
2 0 2  2.715  33.0  42
2 2 2  2.404  37.4  44
2 2 3  2.234  40.4  36
0 4 6  1.700  53.9  23
2 2 6  1.696  54.1  48
0 0 8  1.692  54.2  26
2 6 0  1.490  62.3  32

No. 3
Li3NiPCO7: simulated XRD peak list (Cu Ka), based on the PBE+U geometry in the Materials Project.
No peak broadening, texture or thermal motion is included.

Structural model:
Cell: 4.9767 6.4208 8.3984 Å, 90.00 95.51 90.00°
Space group P2_1/m (No. 11)
Symmetry-distinct sites (fractional):
Li 0.2108 0.2500 0.1039 (multiplicity 2)
Li 0.2638 0.5159 0.7253 (multiplicity 4)
Ni 0.2082 0.7500 0.3326 (multiplicity 2)
P 0.2716 0.2500 0.4136 (multiplicity 2)
C 0.3155 0.7500 0.0419 (multiplicity 2)
O 0.0656 0.7500 0.0730 (multiplicity 2)
O 0.1647 0.2500 0.5797 (multiplicity 2)
O 0.1674 0.0623 0.3076 (multiplicity 4)
O 0.3837 0.7500 0.8968 (multiplicity 2)
O 0.4128 0.7500 0.5629 (multiplicity 2)
O 0.5000 0.2500 0.8362 (multiplicity 2)

Peak list (12 most intense, 5° ≤ 2θ ≤ 70°, in order of rising 2θ)
(hkl)  d_spacing  2θ (°)  I/Imax
0 0 1  8.360  10.6  90
0 1 1  5.092  17.4  36
1 0 -1  4.453  19.9  38
1 0 1  4.093  21.7  60
1 1 0  3.922  22.7  19
1 1 1  3.451  25.8  18
1 0 -2  3.357  26.5  35
0 2 0  3.210  27.8  100
2 0 0  2.477  36.3  16
2 0 -1  2.439  36.8  31
1 1 3  2.194  41.1  26
0 2 4  1.752  52.2  18

No. 4
Al3Tl4FeAs8O28: simulated XRD peak list (Cu Ka), based on the PBE+U geometry in the Materials Project.
No peak broadening, texture or thermal motion is included.

Structural model:
Cell: 6.4079 6.4853 16.4098 Å, 100.69 93.21 102.99°
Space group P1 (No. 1)
Symmetry-distinct sites (fractional):
Al 0.0000 0.0000 0.0000 (multiplicity 1)
Al 0.0211 0.3699 0.2701 (multiplicity 1)
Al 0.4994 0.0015 0.4979 (multiplicity 1)
Tl 0.0100 0.6843 0.6348 (multiplicity 1)
Tl 0.2603 0.6845 0.8848 (multiplicity 1)
Tl 0.5102 0.6842 0.1350 (multiplicity 1)
Tl 0.7612 0.6859 0.3844 (multiplicity 1)
Fe 0.5213 0.3716 0.7708 (multiplicity 1)
As 0.0313 0.1566 0.4774 (multiplicity 1)
As 0.0820 0.9271 0.2165 (multiplicity 1)
As 0.4391 0.4454 0.5497 (multiplicity 1)
As 0.4888 0.2139 0.2915 (multiplicity 1)
As 0.5316 0.1548 0.9812 (multiplicity 1)
As 0.5817 0.9299 0.7147 (multiplicity 1)
As 0.9400 0.4436 0.0532 (multiplicity 1)
As 0.9889 0.2106 0.7923 (multiplicity 1)
O 0.0329 0.0366 0.8817 (multiplicity 1)
O 0.0468 0.3061 0.9969 (multiplicity 1)
O 0.0613 0.4354 0.1522 (multiplicity 1)
O 0.0656 0.6735 0.2717 (multiplicity 1)
O 0.1581 0.3214 0.5547 (multiplicity 1)
O 0.1901 0.9776 0.4772 (multiplicity 1)
O 0.2056 0.3622 0.7445 (multiplicity 1)
O 0.3055 0.0048 0.0233 (multiplicity 1)
O 0.3301 0.3932 0.2918 (multiplicity 1)
O 0.3635 0.0501 0.2139 (multiplicity 1)
O 0.4530 0.6991 0.4954 (multiplicity 1)
O 0.4605 0.9366 0.6160 (multiplicity 1)
O 0.4670 0.0547 0.7730 (multiplicity 1)
O 0.4839 0.3333 0.8937 (multiplicity 1)
O 0.5316 0.0401 0.3811 (multiplicity 1)
O 0.5460 0.3070 0.4939 (multiplicity 1)
O 0.5690 0.4387 0.6473 (multiplicity 1)
O 0.5720 0.6819 0.7731 (multiplicity 1)
O 0.6595 0.3192 0.0582 (multiplicity 1)
O 0.6906 0.9778 0.9779 (multiplicity 1)
O 0.7147 0.3611 0.2484 (multiplicity 1)
O 0.8058 0.0100 0.5210 (multiplicity 1)
O 0.8411 0.3963 0.7956 (multiplicity 1)
O 0.8626 0.0526 0.7130 (multiplicity 1)
O 0.9546 0.6966 0.9979 (multiplicity 1)
O 0.9603 0.9357 0.1176 (multiplicity 1)
O 0.9739 0.0640 0.2726 (multiplicity 1)
O 0.9898 0.3309 0.3876 (multiplicity 1)

Peak list (12 most intense, 5° ≤ 2θ ≤ 70°, in order of rising 2θ)
(hkl)  d_spacing  2θ (°)  I/Imax
-1 1 1  4.688  18.9  26
1 1 -1  4.008  22.2  26
1 0 3  3.862  23.0  33
1 -1 3  3.824  23.3  30
0 1 -4  3.729  23.9  100
1 0 -5  2.977  30.0  33
-1 2 1  2.942  30.4  48
1 1 3  2.912  30.7  48
-2 1 2  2.882  31.0  48
1 2 -1  2.591  34.6  30
2 1 -2  2.549  35.2  26
1 1 -9  1.757  52.1  31